Entry 1:
For CrFe4F12, a cell relaxed with GGA+U gives the simulated X-ray diffraction stick pattern in this record (copper Kα).
Peak positions follow from Bragg's law for the DFT cell and can differ from measured ones.

Largest 6 diffraction maxima, in order of falling intensity, 10 to 90 degrees two-theta:
2θ = 22.17°, I 100, (0 0 2)
2θ = 22.95°, I 80, (0 2 0)
2θ = 23.20°, I 74, (2 0 0)
2θ = 15.94°, I 65, (0 1 1)
2θ = 32.30°, I 63, (2 0 2)
2θ = 32.12°, I 60, (0 2 2)

Atomic structure:
abc: 7.6686 7.7513 8.0204
angles: 90.00 90.00 90.00
Space group Immm (No. 71)
Asymmetric unit:
Cr 0.0000 0.0000 0.0000 (multiplicity 2)
Fe 0.2500 0.2500 0.2500 (multiplicity 8)
F 0.0000 0.2941 0.2884 (multiplicity 8)
F 0.1838 0.1918 0.0000 (multiplicity 8)
F 0.2043 0.0000 0.2859 (multiplicity 8)

=====

Entry 2:
For RbCrFeF6, a cell relaxed with GGA+U gives the simulated X-ray diffraction stick pattern in this record (copper Kα).
Peak positions follow from Bragg's law for the DFT cell and can differ from measured ones.

Largest 6 diffraction maxima, in order of falling intensity, 10 to 90 degrees two-theta:
2θ = 23.85°, I 100, (1 1 1)
2θ = 44.63°, I 31, (1 3 -2)
2θ = 14.68°, I 16, (0 0 1)
2θ = 44.75°, I 15, (2 0 2)
2θ = 32.62°, I 13, (1 3 0)
2θ = 40.92°, I 11, (2 2 1)

Atomic structure:
abc: 5.4634 9.5232 6.0349
angles: 90.00 90.01 90.00
Space group C2 (No. 5)
Asymmetric unit:
Rb 0.0000 0.0000 0.0000 (multiplicity 2)
Cr 0.0000 0.3336 0.5000 (multiplicity 2)
Fe 0.0000 0.6663 0.5000 (multiplicity 2)
F 0.1217 0.4904 0.3205 (multiplicity 4)
F 0.1693 0.1952 0.3176 (multiplicity 4)
F 0.2002 0.8181 0.3233 (multiplicity 4)

=====

Entry 3:
For CrGaF, a cell relaxed with GGA+U gives the simulated X-ray diffraction stick pattern in this record (copper Kα).
Peak positions follow from Bragg's law for the DFT cell and can differ from measured ones.

Largest 6 diffraction maxima, in order of falling intensity, 10 to 90 degrees two-theta:
2θ = 39.57°, I 100, (0 1 2)
2θ = 35.39°, I 75, (1 0 1)
2θ = 40.06°, I 74, (1 1 0)
2θ = 36.90°, I 66, (0 2 -2)
2θ = 18.21°, I 55, (0 1 -1)
2θ = 40.61°, I 33, (1 -2 0)

Atomic structure:
abc: 3.0547 5.5153 6.7573
angles: 111.28 90.81 105.02
Space group P1 (No. 1)
Asymmetric unit:
Cr 0.0000 0.0000 0.0000 (multiplicity 1)
Cr 0.3295 0.6338 0.1926 (multiplicity 1)
Ga 0.0262 0.0344 0.4875 (multiplicity 1)
Ga 0.6878 0.3681 0.8172 (multiplicity 1)
F 0.1516 0.2969 0.2903 (multiplicity 1)
F 0.8541 0.7110 0.7138 (multiplicity 1)

=====

Entry 4:
For Cr4HF2, a cell relaxed with GGA+U gives the simulated X-ray diffraction stick pattern in this record (copper Kα).
Peak positions follow from Bragg's law for the DFT cell and can differ from measured ones.

Largest 6 diffraction maxima, in order of falling intensity, 10 to 90 degrees two-theta:
2θ = 33.07°, I 100, (1 1 2)
2θ = 41.58°, I 46, (2 0 0)
2θ = 44.62°, I 24, (1 0 5)
2θ = 31.14°, I 22, (0 0 4)
2θ = 70.48°, I 18, (3 1 2)
2θ = 60.27°, I 17, (2 2 0)

Atomic structure:
abc: 4.3441 4.3441 11.4853
angles: 90.00 90.00 90.00
Space group I4/mmm (No. 139)
Asymmetric unit:
Cr 0.0000 0.0000 0.2014 (multiplicity 4)
Cr 0.0000 0.5000 0.0000 (multiplicity 4)
H 0.0000 0.0000 0.0000 (multiplicity 2)
F 0.0000 0.0000 0.3849 (multiplicity 4)

=====

Entry 5:
For NaCrH8N2F6, a cell relaxed with GGA+U gives the simulated X-ray diffraction stick pattern in this record (copper Kα).
Peak positions follow from Bragg's law for the DFT cell and can differ from measured ones.

Largest 6 diffraction maxima, in order of falling intensity, 10 to 90 degrees two-theta:
2θ = 20.56°, I 100, (2 0 0)
2θ = 41.83°, I 97, (4 0 0)
2θ = 17.78°, I 72, (1 1 1)
2θ = 29.24°, I 71, (2 2 0)
2θ = 60.64°, I 48, (4 4 0)
2θ = 47.04°, I 46, (4 2 0)

Atomic structure:
abc: 8.6390 8.6390 8.6390
angles: 90.00 90.00 90.00
Space group Fm-3m (No. 225)
Asymmetric unit:
Na 0.0000 0.0000 0.0000 (multiplicity 4)
Cr 0.0000 0.0000 0.5000 (multiplicity 4)
H 0.1812 0.1812 0.3188 (multiplicity 32)
N 0.2500 0.2500 0.2500 (multiplicity 8)
F 0.0000 0.0000 0.2745 (multiplicity 24)